No. 1
The following is a calculated X-ray powder pattern of LaY. It was derived from DFT lattice parameters and positions (PBE), using a wavelength of 1.5418 Å.
No peak broadening, texture or thermal motion is included.

Structure:
```
data_LaY
_cell_length_a 3.6747
_cell_length_b 3.6747
_cell_length_c 11.9074
_cell_angle_alpha 90.00
_cell_angle_beta 90.00
_cell_angle_gamma 120.00
_symmetry_space_group_name_H-M 'P 1'
_symmetry_Int_Tables_number 1
loop_
_symmetry_equiv_pos_as_xyz
'x,y,z'
loop_
_atom_site_label
_atom_site_type_symbol
_atom_site_fract_x
_atom_site_fract_y
_atom_site_fract_z
La1 La 0.3333 0.6667 0.3661
La2 La 0.6667 0.3333 0.6339
Y1 Y 0.3333 0.6667 0.8818
Y2 Y 0.6667 0.3333 0.1182
```

Largest 12 diffraction maxima, in order of rising 2θ, 10° ≤ 2θ ≤ 90°:
- d 3.182, intensity 24
- d 2.977, intensity 25
- d 2.807, intensity 100
- d 2.174, intensity 16
- d 1.837, intensity 19
- d 1.684, intensity 20
- d 1.564, intensity 22
- d 1.537, intensity 16
- d 1.241, intensity 7
- d 1.179, intensity 13
- d 1.157, intensity 7
- d 1.115, intensity 8

No. 2
The following is a calculated X-ray powder pattern of La3Pm4Ho4. It was derived from DFT lattice parameters and positions (PBE), using a wavelength of 1.5418 Å.
No peak broadening, texture or thermal motion is included.

Structure:
```
data_La3Pm4Ho4
_cell_length_a 10.8468
_cell_length_b 6.7426
_cell_length_c 6.7426
_cell_angle_alpha 50.83
_cell_angle_beta 90.00
_cell_angle_gamma 90.00
_symmetry_space_group_name_H-M 'P 1'
_symmetry_Int_Tables_number 1
loop_
_symmetry_equiv_pos_as_xyz
'x,y,z'
loop_
_atom_site_label
_atom_site_type_symbol
_atom_site_fract_x
_atom_site_fract_y
_atom_site_fract_z
La1 La 0.0000 0.0000 0.0000
La2 La 0.2876 0.1594 0.1594
La3 La 0.7124 0.1594 0.1594
Pm1 Pm 0.0000 0.7040 0.7040
Pm2 Pm 0.2157 0.4957 0.4957
Pm3 Pm 0.5000 0.6324 0.6324
Pm4 Pm 0.7843 0.4957 0.4957
Ho1 Ho 0.0000 0.3051 0.3051
Ho2 Ho 0.3055 0.8546 0.8546
Ho3 Ho 0.5000 0.3606 0.3606
Ho4 Ho 0.6945 0.8546 0.8546
```

Largest 12 diffraction maxima, in order of rising 2θ, 10° ≤ 2θ ≤ 90°:
- d 2.974, intensity 28
- d 2.932, intensity 15
- d 2.894, intensity 37
- d 2.834, intensity 100
- d 2.712, intensity 16
- d 2.059, intensity 11
- d 1.979, intensity 13
- d 1.767, intensity 10
- d 1.662, intensity 7
- d 1.659, intensity 20
- d 1.513, intensity 13
- d 1.508, intensity 13

No. 3
The following is a calculated X-ray powder pattern of Li2PuSe2. It was derived from DFT lattice parameters and positions (PBE), using a wavelength of 1.5418 Å.
No peak broadening, texture or thermal motion is included.

Structure:
```
data_Li2PuSe2
_cell_length_a 7.0780
_cell_length_b 6.7690
_cell_length_c 6.3932
_cell_angle_alpha 64.99
_cell_angle_beta 60.07
_cell_angle_gamma 54.94
_symmetry_space_group_name_H-M 'P 1'
_symmetry_Int_Tables_number 1
loop_
_symmetry_equiv_pos_as_xyz
'x,y,z'
loop_
_atom_site_label
_atom_site_type_symbol
_atom_site_fract_x
_atom_site_fract_y
_atom_site_fract_z
Li1 Li 0.0067 0.7433 0.0067
Li2 Li 0.2567 0.9933 0.2567
Li3 Li 0.7433 0.0067 0.7433
Li4 Li 0.9933 0.2567 0.9933
Pu1 Pu 0.3750 0.3750 0.3750
Pu2 Pu 0.6250 0.6250 0.6250
Se1 Se 0.0969 0.0969 0.6531
Se2 Se 0.3469 0.3469 0.9031
Se3 Se 0.6531 0.6531 0.0969
Se4 Se 0.9031 0.9031 0.3469
```

Largest 12 diffraction maxima, in order of rising 2θ, 10° ≤ 2θ ≤ 90°:
- d 5.438, intensity 89
- d 3.179, intensity 100
- d 3.064, intensity 55
- d 2.858, intensity 22
- d 2.643, intensity 16
- d 2.623, intensity 26
- d 2.376, intensity 22
- d 2.264, intensity 27
- d 2.153, intensity 21
- d 2.139, intensity 18
- d 2.023, intensity 46
- d 1.761, intensity 14

No. 4
The following is a calculated X-ray powder pattern of CsIn2Hg9. It was derived from DFT lattice parameters and positions (PBE), using a wavelength of 1.5418 Å.
No peak broadening, texture or thermal motion is included.

Structure:
```
data_CsIn2Hg9
_cell_length_a 10.6663
_cell_length_b 10.6663
_cell_length_c 3.6215
_cell_angle_alpha 90.00
_cell_angle_beta 90.00
_cell_angle_gamma 120.00
_symmetry_space_group_name_H-M 'P 1'
_symmetry_Int_Tables_number 1
loop_
_symmetry_equiv_pos_as_xyz
'x,y,z'
loop_
_atom_site_label
_atom_site_type_symbol
_atom_site_fract_x
_atom_site_fract_y
_atom_site_fract_z
Cs1 Cs 0.0000 0.0000 0.0000
In1 In 0.3333 0.6667 0.0000
In2 In 0.6667 0.3333 0.0000
Hg1 Hg 0.0000 0.5000 0.0000
Hg2 Hg 0.1806 0.3612 0.5000
Hg3 Hg 0.1806 0.8194 0.5000
Hg4 Hg 0.3612 0.1806 0.5000
Hg5 Hg 0.5000 0.0000 0.0000
Hg6 Hg 0.5000 0.5000 0.0000
Hg7 Hg 0.6388 0.8194 0.5000
Hg8 Hg 0.8194 0.1806 0.5000
Hg9 Hg 0.8194 0.6388 0.5000
```

Largest 12 diffraction maxima, in order of rising 2θ, 10° ≤ 2θ ≤ 90°:
- d 2.996, intensity 19
- d 2.850, intensity 81
- d 2.667, intensity 100
- d 2.514, intensity 31
- d 2.346, intensity 11
- d 1.947, intensity 24
- d 1.811, intensity 12
- d 1.646, intensity 11
- d 1.573, intensity 24
- d 1.540, intensity 16
- d 1.498, intensity 35
- d 1.173, intensity 13

No. 5
The following is a calculated X-ray powder pattern of CaHo5Al4. It was derived from DFT lattice parameters and positions (PBE), using a wavelength of 1.5418 Å.
No peak broadening, texture or thermal motion is included.

Structure:
```
data_CaHo5Al4
_cell_length_a 3.5626
_cell_length_b 3.5626
_cell_length_c 20.1457
_cell_angle_alpha 90.00
_cell_angle_beta 90.00
_cell_angle_gamma 90.00
_symmetry_space_group_name_H-M 'P 1'
_symmetry_Int_Tables_number 1
loop_
_symmetry_equiv_pos_as_xyz
'x,y,z'
loop_
_atom_site_label
_atom_site_type_symbol
_atom_site_fract_x
_atom_site_fract_y
_atom_site_fract_z
Ca1 Ca 0.0000 0.0000 0.0000
Ho1 Ho 0.5000 0.5000 0.1409
Ho2 Ho 0.5000 0.5000 0.3205
Ho3 Ho 0.5000 0.5000 0.5000
Ho4 Ho 0.5000 0.5000 0.6795
Ho5 Ho 0.5000 0.5000 0.8591
Al1 Al 0.0000 0.0000 0.2296
Al2 Al 0.0000 0.0000 0.4103
Al3 Al 0.0000 0.0000 0.5897
Al4 Al 0.0000 0.0000 0.7704
```

Largest 12 diffraction maxima, in order of rising 2θ, 10° ≤ 2θ ≤ 90°:
- d 4.029, intensity 23
- d 3.563, intensity 100
- d 3.358, intensity 40
- d 2.669, intensity 89
- d 2.519, intensity 87
- d 2.443, intensity 81
- d 2.015, intensity 33
- d 1.781, intensity 32
- d 1.629, intensity 34
- d 1.481, intensity 56
- d 1.439, intensity 31
- d 1.202, intensity 22

No. 6
The following is a calculated X-ray powder pattern of Li2Be2Au5. It was derived from DFT lattice parameters and positions (PBE), using a wavelength of 1.5418 Å.
No peak broadening, texture or thermal motion is included.

Structure:
```
data_Li2Be2Au5
_cell_length_a 7.0891
_cell_length_b 7.0891
_cell_length_c 5.2696
_cell_angle_alpha 104.62
_cell_angle_beta 104.62
_cell_angle_gamma 33.41
_symmetry_space_group_name_H-M 'P 1'
_symmetry_Int_Tables_number 1
loop_
_symmetry_equiv_pos_as_xyz
'x,y,z'
loop_
_atom_site_label
_atom_site_type_symbol
_atom_site_fract_x
_atom_site_fract_y
_atom_site_fract_z
Li1 Li 0.0805 0.0805 0.3538
Li2 Li 0.9195 0.9195 0.6462
Be1 Be 0.3073 0.3073 0.8645
Be2 Be 0.6927 0.6927 0.1355
Au1 Au 0.1268 0.1268 0.8864
Au2 Au 0.2933 0.2933 0.3797
Au3 Au 0.5000 0.5000 0.0000
Au4 Au 0.7067 0.7067 0.6203
Au5 Au 0.8732 0.8732 0.1136
```

Largest 12 diffraction maxima, in order of rising 2θ, 10° ≤ 2θ ≤ 90°:
- d 5.083, intensity 10
- d 3.584, intensity 66
- d 2.799, intensity 100
- d 2.206, intensity 82
- d 2.056, intensity 12
- d 2.038, intensity 22
- d 1.926, intensity 18
- d 1.771, intensity 19
- d 1.700, intensity 14
- d 1.400, intensity 13
- d 1.225, intensity 11
- d 1.206, intensity 12

Copy entry 3 word for word.
The following is a calculated X-ray powder pattern of Li2PuSe2. It was derived from DFT lattice parameters and positions (PBE), using a wavelength of 1.5418 Å.
No peak broadening, texture or thermal motion is included.

Structure:
```
data_Li2PuSe2
_cell_length_a 7.0780
_cell_length_b 6.7690
_cell_length_c 6.3932
_cell_angle_alpha 64.99
_cell_angle_beta 60.07
_cell_angle_gamma 54.94
_symmetry_space_group_name_H-M 'P 1'
_symmetry_Int_Tables_number 1
loop_
_symmetry_equiv_pos_as_xyz
'x,y,z'
loop_
_atom_site_label
_atom_site_type_symbol
_atom_site_fract_x
_atom_site_fract_y
_atom_site_fract_z
Li1 Li 0.0067 0.7433 0.0067
Li2 Li 0.2567 0.9933 0.2567
Li3 Li 0.7433 0.0067 0.7433
Li4 Li 0.9933 0.2567 0.9933
Pu1 Pu 0.3750 0.3750 0.3750
Pu2 Pu 0.6250 0.6250 0.6250
Se1 Se 0.0969 0.0969 0.6531
Se2 Se 0.3469 0.3469 0.9031
Se3 Se 0.6531 0.6531 0.0969
Se4 Se 0.9031 0.9031 0.3469
```

Largest 12 diffraction maxima, in order of rising 2θ, 10° ≤ 2θ ≤ 90°:
- d 5.438, intensity 89
- d 3.179, intensity 100
- d 3.064, intensity 55
- d 2.858, intensity 22
- d 2.643, intensity 16
- d 2.623, intensity 26
- d 2.376, intensity 22
- d 2.264, intensity 27
- d 2.153, intensity 21
- d 2.139, intensity 18
- d 2.023, intensity 46
- d 1.761, intensity 14